1.
# YRu2O8
Calculated powder diffractogram, a wavelength of 1.5418 Å. Input: a crystal structure in Alexandria, relaxed with GGA-PBE.
Intensities are scaled so that the largest is 100.

Principal peaks in the range 2θ = 10–90°, by intensity:
26.5 deg, intensity 100, hkl 2 2 0; 16.1 deg, intensity 38, hkl 1 1 1; 46.8 deg, intensity 38, hkl 4 2 2; 18.7 deg, intensity 28, hkl 2 0 0; 54.6 deg, intensity 21, hkl 4 4 0; 74.6 deg, intensity 20, hkl 6 4 2; 41.4 deg, intensity 15, hkl 3 3 1; 61.7 deg, intensity 15, hkl 6 2 0; 86.9 deg, intensity 11, hkl 6 6 0; 37.8 deg, intensity 7, hkl 4 0 0; 32.6 deg, intensity 6, hkl 2 2 2; 57.3 deg, intensity 5, hkl 5 3 1

a = 9.515 Å, b = 9.515 Å, c = 9.515 Å
α = 90.00°, β = 90.00°, γ = 90.00°
Space group Fm-3m (No. 225)
Asymmetric unit:
Y 0.000 0.000 0.000
Ru 0.250 0.250 0.250
O 0.143 0.143 0.143

2.
# Sr6Ag2Au
Calculated powder diffractogram, a wavelength of 1.5418 Å. Input: a crystal structure in Alexandria, relaxed with GGA-PBE.
Intensities are scaled so that the largest is 100.

Principal peaks in the range 2θ = 10–90°, by intensity:
27.1 deg, intensity 100, hkl 2 1 -3; 33.7 deg, intensity 71, hkl 1 3 -1; 13.1 deg, intensity 69, hkl 0 1 1; 25.3 deg, intensity 67, hkl 1 2 -2; 26.6 deg, intensity 58, hkl 1 0 2; 14.1 deg, intensity 50, hkl 1 0 0; 40.5 deg, intensity 43, hkl 3 1 -1; 31.9 deg, intensity 39, hkl 0 2 3; 32.0 deg, intensity 38, hkl 0 0 4; 40.9 deg, intensity 37, hkl 3 1 -5; 28.8 deg, intensity 36, hkl 1 1 -4; 28.6 deg, intensity 33, hkl 1 1 2

a = 7.555 Å, b = 8.536 Å, c = 13.412 Å
α = 90.00°, β = 123.59°, γ = 90.00°
Space group P2_1/c (No. 14)
Asymmetric unit:
Sr 0.094 0.042 0.247
Sr 0.226 0.677 0.067
Sr 0.401 0.178 0.066
Ag 0.307 0.119 0.753
Au 0.500 0.000 0.500

3.
# TbPrYSe3
Calculated powder diffractogram, a wavelength of 1.5418 Å. Input: a crystal structure in Alexandria, relaxed with GGA-PBE.
Intensities are scaled so that the largest is 100.

Principal peaks in the range 2θ = 10–90°, by intensity:
29.0 deg, intensity 100, hkl 1 1 -2; 33.7 deg, intensity 46, hkl 2 0 2; 27.7 deg, intensity 45, hkl 1 1 1; 36.2 deg, intensity 41, hkl 2 1 1; 41.0 deg, intensity 36, hkl 0 1 4; 44.6 deg, intensity 36, hkl 3 1 -2; 35.2 deg, intensity 35, hkl 2 1 -2; 44.8 deg, intensity 35, hkl 0 2 0; 37.9 deg, intensity 25, hkl 2 0 -4; 25.8 deg, intensity 22, hkl 1 0 -3; 48.9 deg, intensity 19, hkl 0 1 5; 57.1 deg, intensity 17, hkl 2 2 2

a = 7.227 Å, b = 4.050 Å, c = 10.761 Å
α = 90.00°, β = 102.83°, γ = 90.00°
Space group P2_1/m (No. 11)
Asymmetric unit:
Tb 0.237 0.250 0.442
Pr 0.336 0.750 0.802
Y 0.122 0.750 0.130
Se 0.050 0.250 0.654
Se 0.279 0.250 0.001
Se 0.453 0.750 0.336

4.
# GaP2
Calculated powder diffractogram, a wavelength of 1.5418 Å. Input: a crystal structure in Alexandria, relaxed with GGA-PBE.
Intensities are scaled so that the largest is 100.

Principal peaks in the range 2θ = 10–90°, by intensity:
28.9 deg, intensity 100, hkl 2 0 -1; 30.5 deg, intensity 99, hkl 2 0 1; 25.2 deg, intensity 91, hkl 1 1 -1; 27.4 deg, intensity 70, hkl 0 2 0; 33.1 deg, intensity 56, hkl 0 2 1; 42.0 deg, intensity 53, hkl 1 1 2; 41.5 deg, intensity 51, hkl 2 2 1; 47.6 deg, intensity 40, hkl 4 0 0; 43.4 deg, intensity 34, hkl 1 3 0; 40.2 deg, intensity 34, hkl 2 2 -1; 47.2 deg, intensity 34, hkl 1 3 -1; 51.7 deg, intensity 33, hkl 2 2 -2

a = 7.659 Å, b = 6.501 Å, c = 4.875 Å
α = 90.00°, β = 93.28°, γ = 90.00°
Space group C2 (No. 5)
Asymmetric unit:
Ga 0.144 0.000 0.193
P 0.126 0.399 0.110
P 0.132 0.640 0.423

Repeat the third record exactly.
# TbPrYSe3
Calculated powder diffractogram, a wavelength of 1.5418 Å. Input: a crystal structure in Alexandria, relaxed with GGA-PBE.
Intensities are scaled so that the largest is 100.

Principal peaks in the range 2θ = 10–90°, by intensity:
29.0 deg, intensity 100, hkl 1 1 -2; 33.7 deg, intensity 46, hkl 2 0 2; 27.7 deg, intensity 45, hkl 1 1 1; 36.2 deg, intensity 41, hkl 2 1 1; 41.0 deg, intensity 36, hkl 0 1 4; 44.6 deg, intensity 36, hkl 3 1 -2; 35.2 deg, intensity 35, hkl 2 1 -2; 44.8 deg, intensity 35, hkl 0 2 0; 37.9 deg, intensity 25, hkl 2 0 -4; 25.8 deg, intensity 22, hkl 1 0 -3; 48.9 deg, intensity 19, hkl 0 1 5; 57.1 deg, intensity 17, hkl 2 2 2

a = 7.227 Å, b = 4.050 Å, c = 10.761 Å
α = 90.00°, β = 102.83°, γ = 90.00°
Space group P2_1/m (No. 11)
Asymmetric unit:
Tb 0.237 0.250 0.442
Pr 0.336 0.750 0.802
Y 0.122 0.750 0.130
Se 0.050 0.250 0.654
Se 0.279 0.250 0.001
Se 0.453 0.750 0.336

Number 2 is which compound? Sr6Ag2Au